The following is a simulated X-ray diffraction stick pattern of BaCaPrSbO6. It was derived from a crystal structure in the Materials Project, relaxed with PBE, using Cu Kα (weighted mean of Kα1 and Kα2).

Largest 10 diffraction maxima, in order of rising 2θ, 10 to 90 degrees two-theta:
20.81°, 4.268 Å, I = 9.6
29.60°, 3.018 Å, I = 100.0
42.26°, 2.139 Å, I = 9.2
42.40°, 2.132 Å, I = 18.3
52.50°, 1.743 Å, I = 29.9
52.56°, 1.741 Å, I = 14.8
61.41°, 1.510 Å, I = 10.5
69.72°, 1.349 Å, I = 9.0
84.96°, 1.142 Å, I = 10.9
85.11°, 1.140 Å, I = 10.9

Crystal structure
a b c (Å): 8.522 8.533 8.554
angles (deg): 90.00 90.00 90.00
Space group P222 (No. 16)
Symmetry-distinct sites (fractional):
1 Ba 0.000 0.000 0.000 [1 per cell]
2 Ba 0.000 0.000 0.500 [1 per cell]
3 Ba 0.000 0.500 0.000 [1 per cell]
4 Ba 0.500 0.500 0.500 [1 per cell]
5 Ca 0.000 0.500 0.500 [1 per cell]
6 Ca 0.500 0.000 0.000 [1 per cell]
7 Ca 0.500 0.000 0.500 [1 per cell]
8 Ca 0.500 0.500 0.000 [1 per cell]
9 Pr 0.255 0.252 0.251 [4 per cell]
10 Sb 0.257 0.249 0.748 [4 per cell]
11 O 0.022 0.274 0.785 [4 per cell]
12 O 0.209 0.305 0.521 [4 per cell]
13 O 0.224 0.017 0.717 [4 per cell]
14 O 0.300 0.205 0.979 [4 per cell]
15 O 0.303 0.477 0.798 [4 per cell]
16 O 0.482 0.209 0.690 [4 per cell]

***

The following is a simulated X-ray diffraction stick pattern of K3CaP2O8. It was derived from a crystal structure in the Materials Project, relaxed with PBE, using Cu Kα (weighted mean of Kα1 and Kα2).

Largest 10 diffraction maxima, in order of rising 2θ, 10 to 90 degrees two-theta:
28.66°, 3.114 Å, I = 31.6
29.23°, 3.055 Å, I = 19.5
30.18°, 2.961 Å, I = 51.2
30.56°, 2.925 Å, I = 15.8
30.79°, 2.904 Å, I = 100.0
31.03°, 2.882 Å, I = 50.8
35.81°, 2.507 Å, I = 21.4
42.75°, 2.115 Å, I = 58.5
44.55°, 2.034 Å, I = 20.5
64.13°, 1.452 Å, I = 17.8

Crystal structure
a b c (Å): 10.107 5.765 7.540
angles (deg): 90.00 93.75 90.00
Space group C2/m (No. 12)
Symmetry-distinct sites (fractional):
1 K 0.000 0.000 0.000 [2 per cell]
2 K 0.168 0.500 0.700 [4 per cell]
3 Ca 0.000 0.000 0.500 [2 per cell]
4 P 0.159 0.500 0.250 [4 per cell]
5 O 0.096 0.280 0.328 [8 per cell]
6 O 0.138 0.500 0.043 [4 per cell]
7 O 0.189 0.000 0.705 [4 per cell]

***

The following is a simulated X-ray diffraction stick pattern of LaMg14B. It was derived from a crystal structure in the Materials Project, relaxed with PBE, using Cu Kα (weighted mean of Kα1 and Kα2).

Largest 10 diffraction maxima, in order of rising 2θ, 10 to 90 degrees two-theta:
16.45°, 5.389 Å, I = 36.4
18.60°, 4.769 Å, I = 43.4
23.97°, 3.712 Å, I = 32.3
28.15°, 3.170 Å, I = 31.6
30.99°, 2.885 Å, I = 48.2
32.04°, 2.794 Å, I = 32.3
33.25°, 2.695 Å, I = 55.6
34.65°, 2.589 Å, I = 83.3
35.05°, 2.560 Å, I = 38.3
37.72°, 2.385 Å, I = 100.0

Crystal structure
a b c (Å): 10.242 6.032 12.000
angles (deg): 90.00 90.00 90.00
Space group Amm2 (No. 38)
Symmetry-distinct sites (fractional):
1 La 0.000 0.000 0.000 [2 per cell]
2 Mg 0.000 0.236 0.261 [4 per cell]
3 Mg 0.171 0.000 0.593 [4 per cell]
4 Mg 0.254 0.249 0.380 [8 per cell]
5 Mg 0.264 0.000 0.142 [4 per cell]
6 Mg 0.500 0.000 0.481 [2 per cell]
7 Mg 0.500 0.000 0.975 [2 per cell]
8 Mg 0.500 0.245 0.727 [4 per cell]
9 B 0.000 0.000 0.430 [2 per cell]

***

The following is a simulated X-ray diffraction stick pattern of HfMg14Cr. It was derived from a crystal structure in the Materials Project, relaxed with PBE, using Cu Kα (weighted mean of Kα1 and Kα2).

Largest 10 diffraction maxima, in order of rising 2θ, 10 to 90 degrees two-theta:
16.05°, 5.523 Å, I = 25.3
16.25°, 5.455 Å, I = 20.4
17.45°, 5.082 Å, I = 19.8
18.28°, 4.853 Å, I = 35.8
18.46°, 4.806 Å, I = 30.5
32.84°, 2.727 Å, I = 30.4
35.32°, 2.541 Å, I = 38.2
37.05°, 2.426 Å, I = 52.6
37.42°, 2.403 Å, I = 100.0
64.79°, 1.439 Å, I = 20.7

Crystal structure
a b c (Å): 10.164 6.273 11.046
angles (deg): 90.00 90.00 90.00
Space group Amm2 (No. 38)
Symmetry-distinct sites (fractional):
1 Hf 0.000 0.000 0.000 [2 per cell]
2 Mg 0.000 0.245 0.250 [4 per cell]
3 Mg 0.243 0.000 0.662 [4 per cell]
4 Mg 0.245 0.249 0.417 [8 per cell]
5 Mg 0.250 0.000 0.163 [4 per cell]
6 Mg 0.500 0.000 0.499 [2 per cell]
7 Mg 0.500 0.000 0.998 [2 per cell]
8 Mg 0.500 0.249 0.749 [4 per cell]
9 Cr 0.000 0.000 0.496 [2 per cell]